Calculated powder diffractogram of ZrBiPb2O6 for copper Kα, from a GGA-PBE-relaxed structure.
Kinematic intensities with the Lorentz-polarization factor, no thermal factor.

Peak list (8 most intense, 10 to 90 degrees two-theta, in order of rising 2θ)
- 2θ = 29.37°, I = 24, hkl 0 2 0
- 2θ = 29.65°, I = 100, hkl 1 1 1
- 2θ = 30.01°, I = 24, hkl 2 0 -2
- 2θ = 42.36°, I = 13, hkl 0 0 4
- 2θ = 42.49°, I = 23, hkl 2 2 -2
- 2θ = 52.27°, I = 18, hkl 1 3 1
- 2θ = 53.06°, I = 23, hkl 3 1 -1
- 2θ = 61.55°, I = 14, hkl 2 2 2

```
20
Lattice="5.955 0.000 0.000 0.000 6.082 0.000 -5.938 0.000 8.536" Properties=species:S:1:pos:R:3 pbc="T T T"
Zr 0.000 0.000 0.000
Zr -2.969 3.041 4.268
Bi 0.009 0.000 4.268
Bi 2.977 3.041 0.000
Pb -2.928 0.204 6.396
Pb 0.041 2.837 2.128
Pb -0.023 3.245 6.408
Pb 2.946 5.877 2.140
O -0.550 0.157 2.060
O -3.519 2.884 6.327
O 1.120 4.313 0.388
O -1.848 4.809 4.655
O 1.735 1.179 0.393
O -1.234 1.862 4.661
O 1.251 4.220 3.875
O -1.717 4.903 8.142
O 1.866 1.272 3.880
O -1.103 1.768 8.148
O 3.536 3.198 2.208
O 0.567 5.924 6.476
```